# 1
Diffraction record for AcDyEr4Tm2. The powder X-ray diffraction pattern is simulated, not measured: it uses the PBE geometry in Alexandria and Cu Kα.
Lines closer than 0.1° are merged.

Peak list (10 most intense, 10 to 80 degrees two-theta, by angle)
30.74 deg, 2.909 Å, intensity 100
35.50 deg, 2.529 Å, intensity 34
35.93 deg, 2.499 Å, intensity 17
51.07 deg, 1.788 Å, intensity 12
51.40 deg, 1.778 Å, intensity 24
60.80 deg, 1.523 Å, intensity 29
61.38 deg, 1.510 Å, intensity 14
64.02 deg, 1.454 Å, intensity 12
75.13 deg, 1.265 Å, intensity 4
76.18 deg, 1.250 Å, intensity 2

Crystal structure
a b c (Å): 7.1511 7.1553 9.9979
angles (deg): 89.98 89.96 89.96
Element x y z (fractional)
Ac1 0.0000 0.0000 0.0000
Ac2 0.0000 0.5000 0.5000
Dy1 0.0000 0.0000 0.5000
Dy2 0.5000 0.0000 0.5000
Er1 0.2570 0.2506 0.2490
Er2 0.2569 0.2510 0.7511
Er3 0.2572 0.7493 0.2492
Er4 0.2570 0.7490 0.7509
Er5 0.7430 0.2510 0.2491
Er6 0.7428 0.2507 0.7508
Er7 0.7431 0.7490 0.2489
Er8 0.7430 0.7494 0.7510
Tm1 0.0000 0.5000 0.0000
Tm2 0.5000 0.0000 0.0000
Tm3 0.5000 0.5000 0.0000
Tm4 0.5000 0.5000 0.5000

# 2
Diffraction record for Dy2BiAs. The powder X-ray diffraction pattern is simulated, not measured: it uses the PBE geometry in Alexandria and Cu Kα.
Lines closer than 0.1° are merged.

Peak list (10 most intense, 10 to 80 degrees two-theta, by angle)
24.67 deg, 3.609 Å, intensity 26
25.66 deg, 3.472 Å, intensity 25
29.30 deg, 3.048 Å, intensity 41
31.79 deg, 2.815 Å, intensity 100
37.69 deg, 2.387 Å, intensity 37
42.82 deg, 2.112 Å, intensity 58
48.20 deg, 1.888 Å, intensity 12
54.30 deg, 1.689 Å, intensity 22
67.59 deg, 1.386 Å, intensity 23
71.51 deg, 1.319 Å, intensity 20

Crystal structure
a b c (Å): 4.2241 4.2241 22.0436
angles (deg): 90.00 90.00 120.00
Element x y z (fractional)
Dy1 0.0000 0.0000 0.0000
Dy2 0.0000 0.0000 0.1858
Dy3 0.3333 0.6667 0.6667
Dy4 0.3333 0.6667 0.8525
Dy5 0.6667 0.3333 0.3333
Dy6 0.6667 0.3333 0.5191
Bi1 0.0000 0.0000 0.4255
Bi2 0.3333 0.6667 0.0922
Bi3 0.6667 0.3333 0.7589
As1 0.0000 0.0000 0.5950
As2 0.3333 0.6667 0.2616
As3 0.6667 0.3333 0.9283

# 3
Diffraction record for Tb3Pr2Er6. The powder X-ray diffraction pattern is simulated, not measured: it uses the PBE geometry in Alexandria and Cu Kα.
Lines closer than 0.1° are merged.

Peak list (10 most intense, 10 to 80 degrees two-theta, by angle)
15.41 deg, 5.751 Å, intensity 2
29.74 deg, 3.004 Å, intensity 2
31.10 deg, 2.876 Å, intensity 100
36.06 deg, 2.490 Å, intensity 51
51.92 deg, 1.761 Å, intensity 36
61.75 deg, 1.502 Å, intensity 28
61.82 deg, 1.501 Å, intensity 14
64.84 deg, 1.438 Å, intensity 12
76.45 deg, 1.246 Å, intensity 4
76.59 deg, 1.244 Å, intensity 2

Crystal structure
a b c (Å): 6.1027 6.1027 11.6825
angles (deg): 95.02 95.02 120.07
Element x y z (fractional)
Tb1 0.0000 0.0000 0.0000
Tb2 0.3353 0.6647 0.0000
Tb3 0.6647 0.3353 0.0000
Pr1 0.1668 0.8332 0.5000
Pr2 0.8332 0.1668 0.5000
Er1 0.0823 0.4156 0.2466
Er2 0.2512 0.2512 0.7534
Er3 0.4156 0.0823 0.2466
Er4 0.5844 0.9177 0.7534
Er5 0.7488 0.7488 0.2466
Er6 0.9177 0.5844 0.7534

# 4
Diffraction record for Na3BeO3. The powder X-ray diffraction pattern is simulated, not measured: it uses the PBE geometry in Alexandria and Cu Kα.
Lines closer than 0.1° are merged.

Peak list (10 most intense, 10 to 80 degrees two-theta, by angle)
29.52 deg, 3.026 Å, intensity 25
36.15 deg, 2.484 Å, intensity 100
36.82 deg, 2.441 Å, intensity 39
41.25 deg, 2.188 Å, intensity 38
42.80 deg, 2.113 Å, intensity 90
43.98 deg, 2.059 Å, intensity 28
44.50 deg, 2.036 Å, intensity 34
45.35 deg, 2.000 Å, intensity 31
46.22 deg, 1.964 Å, intensity 27
48.32 deg, 1.884 Å, intensity 29

Crystal structure
a b c (Å): 6.5890 5.5503 9.1714
angles (deg): 90.00 94.87 90.00
Element x y z (fractional)
Na1 0.0579 0.1388 0.1482
Na2 0.0579 0.3612 0.6482
Na3 0.3414 0.6905 0.8025
Na4 0.3414 0.8095 0.3025
Na5 0.3770 0.2093 0.9309
Na6 0.3770 0.2907 0.4309
Na7 0.6230 0.7093 0.5691
Na8 0.6230 0.7907 0.0691
Na9 0.6586 0.1905 0.6975
Na10 0.6586 0.3095 0.1975
Na11 0.9421 0.6388 0.3518
Na12 0.9421 0.8612 0.8518
Be1 0.1441 0.5795 0.0522
Be2 0.1441 0.9205 0.5522
Be3 0.8559 0.0795 0.4478
Be4 0.8559 0.4205 0.9478
O1 0.0869 0.0585 0.3912
O2 0.0869 0.4415 0.8912
O3 0.2575 0.6570 0.5380
O4 0.2575 0.8430 0.0380
O5 0.3348 0.0334 0.6570
O6 0.3348 0.4666 0.1570
O7 0.6652 0.5334 0.8430
O8 0.6652 0.9666 0.3430
O9 0.7425 0.1570 0.9620
O10 0.7425 0.3430 0.4620
O11 0.9131 0.5585 0.1088
O12 0.9131 0.9415 0.6088

# 5
Diffraction record for Tl5VSe4. The powder X-ray diffraction pattern is simulated, not measured: it uses the PBE geometry in Alexandria and Cu Kα.
Lines closer than 0.1° are merged.

Peak list (10 most intense, 10 to 80 degrees two-theta, by angle)
23.30 deg, 3.817 Å, intensity 35
23.93 deg, 3.718 Å, intensity 50
27.10 deg, 3.290 Å, intensity 31
28.36 deg, 3.147 Å, intensity 100
29.07 deg, 3.072 Å, intensity 25
31.49 deg, 2.841 Å, intensity 77
33.69 deg, 2.660 Å, intensity 30
35.47 deg, 2.531 Å, intensity 38
41.15 deg, 2.194 Å, intensity 55
49.38 deg, 1.846 Å, intensity 31

Crystal structure
a b c (Å): 8.5159 10.3650 7.6287
angles (deg): 90.00 90.00 90.00
Element x y z (fractional)
Tl1 0.0399 0.0560 0.2229
Tl2 0.0399 0.4440 0.2229
Tl3 0.2500 0.2500 0.5710
Tl4 0.4601 0.0560 0.2229
Tl5 0.4601 0.4440 0.2229
Tl6 0.5399 0.5560 0.7771
Tl7 0.5399 0.9440 0.7771
Tl8 0.7500 0.7500 0.4290
Tl9 0.9601 0.5560 0.7771
Tl10 0.9601 0.9440 0.7771
V1 0.2500 0.7500 0.3479
V2 0.7500 0.2500 0.6521
Se1 0.0202 0.7500 0.1648
Se2 0.2500 0.5636 0.5366
Se3 0.2500 0.9364 0.5366
Se4 0.4798 0.7500 0.1648
Se5 0.5202 0.2500 0.8352
Se6 0.7500 0.0636 0.4634
Se7 0.7500 0.4364 0.4634
Se8 0.9798 0.2500 0.8352

# 6
Diffraction record for Ho4MgTc. The powder X-ray diffraction pattern is simulated, not measured: it uses the PBE geometry in Alexandria and Cu Kα.
Lines closer than 0.1° are merged.

Peak list (10 most intense, 10 to 80 degrees two-theta, by angle)
12.58 deg, 7.035 Å, intensity 91
26.04 deg, 3.422 Å, intensity 39
29.67 deg, 3.011 Å, intensity 76
31.52 deg, 2.838 Å, intensity 77
32.86 deg, 2.725 Å, intensity 100
35.68 deg, 2.516 Å, intensity 36
35.83 deg, 2.507 Å, intensity 53
37.40 deg, 2.404 Å, intensity 43
47.83 deg, 1.902 Å, intensity 28
54.98 deg, 1.670 Å, intensity 32

Crystal structure
a b c (Å): 7.7799 7.7799 6.2029
angles (deg): 100.20 100.20 110.55
Element x y z (fractional)
Ho1 0.0643 0.7269 0.9491
Ho2 0.1895 0.3578 0.6200
Ho3 0.2731 0.9357 0.5509
Ho4 0.3578 0.1895 0.1200
Ho5 0.6422 0.8105 0.8800
Ho6 0.7269 0.0643 0.4491
Ho7 0.8105 0.6422 0.3800
Ho8 0.9357 0.2731 0.0509
Mg1 0.3788 0.6212 0.2500
Mg2 0.6212 0.3788 0.7500
Tc1 0.0010 0.9990 0.7500
Tc2 0.9990 0.0010 0.2500

# 7
Diffraction record for BaLa3Pt. The powder X-ray diffraction pattern is simulated, not measured: it uses the PBE geometry in Alexandria and Cu Kα.
Lines closer than 0.1° are merged.

Peak list (10 most intense, 10 to 80 degrees two-theta, by angle)
11.59 deg, 7.637 Å, intensity 83
24.27 deg, 3.667 Å, intensity 48
27.05 deg, 3.296 Å, intensity 100
27.33 deg, 3.263 Å, intensity 48
28.63 deg, 3.118 Å, intensity 92
29.67 deg, 3.011 Å, intensity 67
31.95 deg, 2.801 Å, intensity 40
35.88 deg, 2.503 Å, intensity 42
38.19 deg, 2.357 Å, intensity 52
48.14 deg, 1.890 Å, intensity 50

Crystal structure
a b c (Å): 7.6073 7.6073 8.4123
angles (deg): 102.44 102.44 118.15
Element x y z (fractional)
Ba1 0.2314 0.2314 0.4576
Ba2 0.7686 0.7686 0.5424
La1 0.1640 0.6290 0.2472
La2 0.2323 0.2323 0.9543
La3 0.3710 0.8360 0.7528
La4 0.6290 0.1640 0.2472
La5 0.7677 0.7677 0.0457
La6 0.8360 0.3710 0.7528
Pt1 0.1631 0.8369 0.0000
Pt2 0.8369 0.1631 0.0000

# 8
Diffraction record for Pu2Cd6Pd3. The powder X-ray diffraction pattern is simulated, not measured: it uses the PBE geometry in Alexandria and Cu Kα.
Lines closer than 0.1° are merged.

Peak list (10 most intense, 10 to 80 degrees two-theta, by angle)
29.96 deg, 2.982 Å, intensity 100
32.52 deg, 2.753 Å, intensity 21
33.12 deg, 2.705 Å, intensity 31
37.71 deg, 2.386 Å, intensity 32
39.33 deg, 2.291 Å, intensity 68
41.93 deg, 2.155 Å, intensity 26
45.71 deg, 1.985 Å, intensity 14
54.44 deg, 1.685 Å, intensity 15
57.65 deg, 1.599 Å, intensity 19
63.34 deg, 1.468 Å, intensity 25

Crystal structure
a b c (Å): 8.2639 8.2639 4.3092
angles (deg): 90.00 90.00 120.00
Element x y z (fractional)
Pu1 0.3333 0.6667 0.0000
Pu2 0.6667 0.3333 0.0000
Cd1 0.0000 0.2043 0.0000
Cd2 0.0000 0.7203 0.5000
Cd3 0.2043 0.0000 0.0000
Cd4 0.2797 0.2797 0.5000
Cd5 0.7203 0.0000 0.5000
Cd6 0.7957 0.7957 0.0000
Pd1 0.0000 0.3996 0.5000
Pd2 0.3996 0.0000 0.5000
Pd3 0.6004 0.6004 0.5000

# 9
Diffraction record for AcAg2Au. The powder X-ray diffraction pattern is simulated, not measured: it uses the PBE geometry in Alexandria and Cu Kα.
Lines closer than 0.1° are merged.

Peak list (10 most intense, 10 to 80 degrees two-theta, by angle)
29.59 deg, 3.019 Å, intensity 71
31.84 deg, 2.811 Å, intensity 100
35.98 deg, 2.496 Å, intensity 26
38.87 deg, 2.317 Å, intensity 36
40.58 deg, 2.223 Å, intensity 29
43.15 deg, 2.097 Å, intensity 24
43.26 deg, 2.091 Å, intensity 23
51.03 deg, 1.790 Å, intensity 22
59.46 deg, 1.555 Å, intensity 21
60.76 deg, 1.524 Å, intensity 35

Crystal structure
a b c (Å): 4.1931 21.7164 4.4468
angles (deg): 90.00 90.00 90.00
Element x y z (fractional)
Ac1 0.0000 0.1078 0.2500
Ac2 0.0000 0.8922 0.7500
Ac3 0.5000 0.3922 0.7500
Ac4 0.5000 0.6078 0.2500
Ag1 0.0000 0.2522 0.7500
Ag2 0.0000 0.4645 0.2500
Ag3 0.0000 0.5355 0.7500
Ag4 0.0000 0.7478 0.2500
Ag5 0.5000 0.0355 0.7500
Ag6 0.5000 0.2478 0.2500
Ag7 0.5000 0.7522 0.7500
Ag8 0.5000 0.9645 0.2500
Au1 0.0000 0.3365 0.2500
Au2 0.0000 0.6635 0.7500
Au3 0.5000 0.1635 0.7500
Au4 0.5000 0.8365 0.2500

# 10
Diffraction record for LiCa4Au2. The powder X-ray diffraction pattern is simulated, not measured: it uses the PBE geometry in Alexandria and Cu Kα.
Lines closer than 0.1° are merged.

Peak list (10 most intense, 10 to 80 degrees two-theta, by angle)
19.25 deg, 4.611 Å, intensity 100
22.59 deg, 3.935 Å, intensity 92
24.96 deg, 3.567 Å, intensity 24
30.62 deg, 2.919 Å, intensity 20
31.04 deg, 2.881 Å, intensity 24
33.90 deg, 2.644 Å, intensity 32
34.10 deg, 2.629 Å, intensity 35
38.91 deg, 2.315 Å, intensity 19
39.67 deg, 2.272 Å, intensity 29
42.10 deg, 2.146 Å, intensity 32

Crystal structure
a b c (Å): 9.0930 9.0930 7.2412
angles (deg): 108.01 108.01 120.07
Element x y z (fractional)
Li1 0.1094 0.8906 0.5000
Li2 0.8906 0.1094 0.0000
Ca1 0.1720 0.6298 0.1921
Ca2 0.3291 0.3537 0.5661
Ca3 0.3352 0.7796 0.8313
Ca4 0.3537 0.3291 0.0661
Ca5 0.6298 0.1720 0.6921
Ca6 0.7492 0.8897 0.3388
Ca7 0.7796 0.3352 0.3313
Ca8 0.8897 0.7492 0.8388
Au1 0.0493 0.3411 0.7272
Au2 0.3411 0.0493 0.2272
Au3 0.5476 0.7494 0.5828
Au4 0.7494 0.5476 0.0828

# 11
Diffraction record for Ce3Th3In2. The powder X-ray diffraction pattern is simulated, not measured: it uses the PBE geometry in Alexandria and Cu Kα.
Lines closer than 0.1° are merged.

Peak list (10 most intense, 10 to 80 degrees two-theta, by angle)
16.58 deg, 5.346 Å, intensity 6
30.91 deg, 2.893 Å, intensity 64
33.60 deg, 2.667 Å, intensity 100
44.28 deg, 2.046 Å, intensity 24
52.00 deg, 1.759 Å, intensity 7
56.71 deg, 1.623 Å, intensity 45
61.73 deg, 1.503 Å, intensity 16
70.63 deg, 1.334 Å, intensity 11
73.09 deg, 1.295 Å, intensity 5
74.64 deg, 1.272 Å, intensity 10

Crystal structure
a b c (Å): 15.2135 5.7793 5.7929
angles (deg): 90.00 112.37 90.00
Element x y z (fractional)
Ce1 0.0000 0.0000 0.0000
Ce2 0.1327 0.0000 0.6332
Ce3 0.3673 0.5000 0.3668
Ce4 0.5000 0.5000 0.0000
Ce5 0.6327 0.5000 0.6332
Ce6 0.8673 0.0000 0.3668
Th1 0.0000 0.5000 0.5000
Th2 0.1331 0.5000 0.1329
Th3 0.3669 0.0000 0.8671
Th4 0.5000 0.0000 0.5000
Th5 0.6331 0.0000 0.1329
Th6 0.8669 0.5000 0.8671
In1 0.2490 0.0000 0.2494
In2 0.2510 0.5000 0.7506
In3 0.7490 0.5000 0.2494
In4 0.7510 0.0000 0.7506

# 12
Diffraction record for Ca2PmTl3. The powder X-ray diffraction pattern is simulated, not measured: it uses the PBE geometry in Alexandria and Cu Kα.
Lines closer than 0.1° are merged.

Peak list (10 most intense, 10 to 80 degrees two-theta, by angle)
22.67 deg, 3.923 Å, intensity 12
23.02 deg, 3.863 Å, intensity 22
32.53 deg, 2.752 Å, intensity 100
32.79 deg, 2.732 Å, intensity 49
40.23 deg, 2.242 Å, intensity 11
46.29 deg, 1.961 Å, intensity 9
47.05 deg, 1.932 Å, intensity 18
57.88 deg, 1.593 Å, intensity 19
58.37 deg, 1.581 Å, intensity 38
68.14 deg, 1.376 Å, intensity 12

Crystal structure
a b c (Å): 3.8631 3.8631 11.7677
angles (deg): 90.00 90.00 90.00
Element x y z (fractional)
Ca1 0.0000 0.0000 0.1640
Ca2 0.0000 0.0000 0.8360
Pm1 0.0000 0.0000 0.5000
Tl1 0.5000 0.5000 0.0000
Tl2 0.5000 0.5000 0.3325
Tl3 0.5000 0.5000 0.6675